For Li2Pr4Os, the PBE geometry in Alexandria gives the simulated powder X-ray diffraction pattern in this record (CuKα).

Crystal structure
Cell: 8.9769 8.9769 8.9769 Å, 33.46 33.46 33.46°
Element x y z (fractional)
Li  0.2457  0.2457  0.2457
Li  0.7543  0.7543  0.7543
Pr  0.1268  0.1268  0.1268
Pr  0.3796  0.3796  0.3796
Pr  0.6204  0.6204  0.6204
Pr  0.8732  0.8732  0.8732
Os  0.5000  0.5000  0.5000

The 8 most intense peaks (15° ≤ 2θ ≤ 90°), sorted by position:
Position (°2θ), Rel. int.
20.14, 13
21.03, 13
24.33, 30
34.68, 100
49.85, 18
62.03, 9
62.19, 28
83.64, 8

For NaSrSc2Au, the PBE geometry in Alexandria gives the simulated powder X-ray diffraction pattern in this record (CuKα).

Crystal structure
Cell: 5.2414 5.2414 5.1648 Å, 90.00 90.00 90.00°
Element x y z (fractional)
Na  0.0000  0.0000  0.0000
Sr  0.0000  0.0000  0.5000
Sc  0.0000  0.5000  0.5000
Sc  0.5000  0.0000  0.5000
Au  0.5000  0.5000  0.0000

The 8 most intense peaks (15° ≤ 2θ ≤ 90°), sorted by position:
Position (°2θ), Rel. int.
24.01, 36
24.19, 100
29.67, 45
34.22, 49
34.74, 24
42.34, 47
49.56, 34
55.49, 19